For PrHo8Tm2, a structure optimized by DFT (GGA-PBE) gives the calculated powder X-ray diffraction pattern in this record (Cu Ka).
Peak positions follow from Bragg's law for the DFT cell and can differ from measured ones.

Atomic structure:
```
PrHo8Tm2
1.0
-2.730 4.049 7.924
2.730 -4.049 7.924
2.730 4.049 -7.924
Pr Ho Tm
1 8 2
Direct
0.000 0.000 0.000
0.153 0.860 0.294
0.164 0.664 0.500
0.296 0.500 0.796
0.434 0.140 0.294
0.566 0.860 0.706
0.704 0.500 0.204
0.836 0.336 0.500
0.847 0.140 0.706
0.301 0.301 0.000
0.699 0.699 0.000
```

Most intense lines, 2θ = 15–90°, sorted by position:
d_spacing, Position (°2θ), I/Imax
2.982, 29.97, 24.8
2.769, 32.33, 100.0
2.741, 32.67, 15.6
2.730, 32.80, 33.8
2.661, 33.68, 11.4
2.641, 33.94, 15.5
1.898, 47.92, 11.9
1.584, 58.26, 18.8
1.464, 63.54, 11.3
1.446, 64.46, 10.9

For Pr5Ho4Tm, a structure optimized by DFT (GGA-PBE) gives the calculated powder X-ray diffraction pattern in this record (Cu Ka).
Peak positions follow from Bragg's law for the DFT cell and can differ from measured ones.

Atomic structure:
```
Pr5Ho4Tm
1.0
9.373 -1.810 0.000
9.373 1.810 0.000
-2.833 0.000 9.843
Pr Ho Tm
5 4 1
Direct
0.000 0.000 0.000
0.200 0.200 0.101
0.401 0.401 0.693
0.599 0.599 0.307
0.800 0.800 0.899
0.199 0.199 0.600
0.399 0.399 0.206
0.601 0.601 0.794
0.801 0.801 0.400
0.000 0.000 0.500
```

Most intense lines, 2θ = 15–90°, sorted by position:
d_spacing, Position (°2θ), I/Imax
2.954, 30.25, 100.0
2.942, 30.38, 33.0
2.561, 35.04, 22.4
2.553, 35.15, 44.9
1.810, 50.41, 24.1
1.806, 50.54, 15.9
1.544, 59.92, 23.7
1.541, 60.06, 23.8
1.477, 62.92, 12.3
1.174, 82.05, 11.6

For Pr2HoTm2, a structure optimized by DFT (GGA-PBE) gives the calculated powder X-ray diffraction pattern in this record (Cu Ka).
Peak positions follow from Bragg's law for the DFT cell and can differ from measured ones.

Atomic structure:
```
Pr2HoTm2
1.0
3.097 -1.789 0.000
3.097 1.789 0.000
-0.019 0.000 14.682
Pr Ho Tm
2 1 2
Direct
0.169 0.169 0.392
0.831 0.831 0.608
0.500 0.500 0.000
0.166 0.166 0.808
0.834 0.834 0.192
```

Most intense lines, 2θ = 15–90°, sorted by position:
d_spacing, Position (°2θ), I/Imax
3.031, 29.47, 27.4
2.936, 30.44, 41.2
2.854, 31.34, 100.0
2.618, 34.26, 58.2
2.367, 38.01, 25.5
1.789, 51.06, 30.8
1.737, 52.70, 28.0
1.528, 60.62, 35.1
1.516, 61.15, 14.9
1.139, 85.23, 13.7

For Pr2HoTm, a structure optimized by DFT (GGA-PBE) gives the calculated powder X-ray diffraction pattern in this record (Cu Ka).
Peak positions follow from Bragg's law for the DFT cell and can differ from measured ones.

Atomic structure:
```
Pr2HoTm
1.0
3.692 -6.292 0.000
3.692 6.292 0.000
0.000 0.000 5.799
Pr Ho Tm
4 2 2
Direct
0.085 0.414 0.250
0.414 0.085 0.750
0.586 0.915 0.250
0.915 0.586 0.750
0.083 0.917 0.250
0.917 0.083 0.750
0.417 0.583 0.750
0.583 0.417 0.250
```

Most intense lines, 2θ = 15–90°, sorted by position:
d_spacing, Position (°2θ), I/Imax
3.184, 28.02, 22.8
3.146, 28.37, 12.0
2.900, 30.84, 36.6
2.791, 32.07, 100.0
2.765, 32.38, 47.3
2.144, 42.15, 15.2
1.824, 50.02, 19.0
1.652, 55.62, 21.0
1.544, 59.92, 22.1
1.535, 60.28, 16.0

For Pr3Ho6Tm2, a structure optimized by DFT (GGA-PBE) gives the calculated powder X-ray diffraction pattern in this record (Cu Ka).
Peak positions follow from Bragg's law for the DFT cell and can differ from measured ones.

Atomic structure:
```
Pr3Ho6Tm2
1.0
1.787 1.032 31.876
-1.787 1.032 31.876
0.000 -2.064 31.876
Pr Ho Tm
3 6 2
Direct
0.000 0.000 0.000
0.272 0.272 0.272
0.728 0.728 0.728
0.093 0.093 0.093
0.182 0.182 0.182
0.364 0.364 0.364
0.636 0.636 0.636
0.818 0.818 0.818
0.907 0.907 0.907
0.455 0.455 0.455
0.545 0.545 0.545
```

Most intense lines, 2θ = 15–90°, sorted by position:
d_spacing, Position (°2θ), I/Imax
2.916, 30.66, 100.0
2.898, 30.86, 31.6
2.522, 35.60, 66.3
1.787, 51.10, 24.3
1.779, 51.37, 22.2
1.524, 60.78, 14.4
1.521, 60.90, 27.5
1.516, 61.13, 12.9
1.458, 63.83, 12.2
1.160, 83.33, 11.9

For Pr3Ho8Tm4, a structure optimized by DFT (GGA-PBE) gives the calculated powder X-ray diffraction pattern in this record (Cu Ka).
Peak positions follow from Bragg's law for the DFT cell and can differ from measured ones.

Atomic structure:
```
Pr3Ho8Tm4
1.0
6.686 -6.404 0.000
6.686 6.404 0.000
-3.364 0.000 5.807
Pr Ho Tm
3 8 4
Direct
0.000 0.000 0.000
0.000 0.500 0.500
0.500 0.000 0.500
0.141 0.859 0.500
0.231 0.231 0.508
0.244 0.244 0.999
0.249 0.751 0.000
0.751 0.249 0.000
0.756 0.756 0.001
0.769 0.769 0.492
0.859 0.141 0.500
0.000 0.500 0.000
0.500 0.000 0.000
0.500 0.500 0.000
0.500 0.500 0.500
```

Most intense lines, 2θ = 15–90°, sorted by position:
d_spacing, Position (°2θ), I/Imax
3.202, 27.87, 36.2
2.903, 30.80, 100.0
2.893, 30.91, 49.0
2.803, 31.93, 28.2
2.314, 38.92, 17.2
2.149, 42.04, 69.6
1.672, 54.91, 18.5
1.482, 62.68, 13.6
1.451, 64.17, 11.7
1.401, 66.75, 30.4

For PrYHoTm3, a structure optimized by DFT (GGA-PBE) gives the calculated powder X-ray diffraction pattern in this record (Cu Ka).
Peak positions follow from Bragg's law for the DFT cell and can differ from measured ones.

Atomic structure:
```
PrYHoTm3
1.0
2.509 -7.525 0.000
2.509 7.525 0.000
0.000 0.000 10.034
Pr Y Ho Tm
2 2 2 6
Direct
0.001 0.999 0.750
0.999 0.001 0.250
0.332 0.668 0.750
0.668 0.332 0.250
0.500 0.500 0.000
0.500 0.500 0.500
0.168 0.832 0.000
0.168 0.832 0.500
0.332 0.668 0.250
0.668 0.332 0.750
0.832 0.168 0.000
0.832 0.168 0.500
```

Most intense lines, 2θ = 15–90°, sorted by position:
d_spacing, Position (°2θ), I/Imax
5.017, 17.68, 1.1
4.301, 20.65, 1.4
2.897, 30.87, 100.0
2.509, 35.79, 50.5
1.774, 51.52, 36.0
1.513, 61.28, 42.5
1.448, 64.32, 12.4
1.254, 75.85, 5.8
1.151, 84.10, 17.7
1.122, 86.81, 16.6

For Pr3Y2Ho6Tm, a structure optimized by DFT (GGA-PBE) gives the calculated powder X-ray diffraction pattern in this record (Cu Ka).
Peak positions follow from Bragg's law for the DFT cell and can differ from measured ones.

Atomic structure:
```
Pr3Y2Ho6Tm
1.0
3.103 -5.373 0.000
3.103 5.373 0.000
-2.064 0.000 11.646
Pr Y Ho Tm
3 2 6 1
Direct
0.000 0.000 0.000
0.333 0.667 0.000
0.667 0.333 0.000
0.167 0.833 0.500
0.833 0.167 0.500
0.086 0.418 0.254
0.250 0.250 0.746
0.418 0.086 0.254
0.582 0.914 0.746
0.750 0.750 0.254
0.914 0.582 0.746
0.500 0.500 0.500
```

Most intense lines, 2θ = 15–90°, sorted by position:
d_spacing, Position (°2θ), I/Imax
2.924, 30.58, 100.0
2.911, 30.71, 32.7
2.529, 35.49, 67.0
1.791, 50.98, 24.0
1.786, 51.15, 23.5
1.527, 60.65, 23.6
1.525, 60.71, 18.8
1.522, 60.86, 13.8
1.462, 63.65, 12.3
1.162, 83.10, 11.7